Record 1
The following is a theoretical powder diffractogram of ErSnP2O8. It was derived from a structure optimized by DFT (PBE), using Cu Kα, 1.54184 Å.
Intensities are scaled so that the largest is 100.

Lattice parameters (Å, degrees): 4.9723 4.9723 21.9601 90.00 90.00 120.00
Space group R-3 (No. 148, hexagonal axes)
Unique sites:
1 Er 0.0000 0.0000 0.0000
2 Sn 0.0000 0.0000 0.5000
3 P 0.0000 0.0000 0.2487
4 O 0.0000 0.0000 0.1775
5 O 0.0066 0.2988 0.2707

Largest 8 diffraction maxima, by intensity, 10° ≤ 2θ ≤ 80°:
2θ (°)  d [Å]  I_rel
26.3  3.388  100
22.2  4.009  40
36.1  2.486  39
44.0  2.057  34
38.9  2.315  31
63.1  1.474  22
45.2  2.004  19
59.2  1.560  18

Record 2
The following is a theoretical powder diffractogram of SrErP2O8. It was derived from a structure optimized by DFT (PBE), using Cu Kα, 1.54184 Å.
Intensities are scaled so that the largest is 100.

Lattice parameters (Å, degrees): 5.3762 5.3762 7.3294 90.00 90.00 120.00
Space group P-3m1 (No. 164)
Unique sites:
1 Sr 0.0000 0.0000 0.0000
2 Er 0.0000 0.0000 0.5000
3 P 0.3333 0.6667 0.7714
4 O 0.1765 0.3529 0.7024
5 O 0.3333 0.6667 0.9826

Largest 8 diffraction maxima, by intensity, 10° ≤ 2θ ≤ 80°:
2θ (°)  d [Å]  I_rel
19.1  4.656  100
31.1  2.880  89
22.6  3.930  57
33.3  2.688  56
41.7  2.167  43
46.2  1.965  43
58.2  1.586  28
61.2  1.514  19

Record 3
The following is a theoretical powder diffractogram of ErPaO4. It was derived from a structure optimized by DFT (PBE), using Cu Kα, 1.54184 Å.
Intensities are scaled so that the largest is 100.

Lattice parameters (Å, degrees): 5.3667 5.3667 10.7319 90.00 90.00 90.00
Space group I4_1/amd (No. 141, origin choice 2)
Unique sites:
1 Er 0.0000 0.2500 0.3750
2 Pa 0.0000 0.2500 0.8750
3 O 0.2419 0.0000 0.0000

Largest 8 diffraction maxima, by intensity, 10° ≤ 2θ ≤ 80°:
2θ (°)  d [Å]  I_rel
28.8  3.098  100
47.9  1.897  50
56.9  1.618  46
33.4  2.683  35
77.5  1.231  19
79.9  1.200  14
59.7  1.549  10
70.1  1.342  8

Record 4
The following is a theoretical powder diffractogram of ErPa2O7. It was derived from a structure optimized by DFT (PBE), using Cu Kα, 1.54184 Å.
Intensities are scaled so that the largest is 100.

Lattice parameters (Å, degrees): 3.8720 3.8720 31.2048 90.00 90.00 120.00
Space group R-3m (No. 166, hexagonal axes)
Unique sites:
1 Er 0.0000 0.0000 0.0000
2 Pa 0.0000 0.0000 0.4304
3 O 0.0000 0.0000 0.0748
4 O 0.0000 0.0000 0.2189
5 O 0.0000 0.0000 0.3600
6 O 0.0000 0.0000 0.5000

Largest 8 diffraction maxima, by intensity, 10° ≤ 2θ ≤ 80°:
2θ (°)  d [Å]  I_rel
27.2  3.278  100
33.4  2.680  71
30.3  2.954  66
46.9  1.936  59
49.1  1.856  50
25.7  3.467  44
54.3  1.690  35
26.7  3.334  30